[1]
The following is a theoretical PXRD pattern of Dy4Y8Tm. It was derived from a cell relaxed with PBE, using copper Kα.
No peak broadening, texture or thermal motion is included.

Principal peaks in the range 15 to 90 degrees two-theta, low angle first:
2θ (°)	I/Imax
28.53	21
29.10	24
31.22	100
32.74	36
38.71	36
50.19	29
59.06	17
82.21	18

Atomic structure:
Cell: 10.1185 10.1185 10.1185 Å, 42.11 42.11 42.11°
Atoms (fractional coordinates):
Dy1 0.0000 0.0000 0.0000
Dy2 0.0000 0.5000 0.5000
Dy3 0.5000 0.0000 0.5000
Dy4 0.5000 0.5000 0.0000
Y1 0.2023 0.7494 0.7494
Y2 0.2144 0.2144 0.2144
Y3 0.2506 0.2506 0.7977
Y4 0.2506 0.7977 0.2506
Y5 0.7494 0.2023 0.7494
Y6 0.7494 0.7494 0.2023
Y7 0.7856 0.7856 0.7856
Y8 0.7977 0.2506 0.2506
Tm1 0.5000 0.5000 0.5000

[2]
The following is a theoretical PXRD pattern of DySc5Ni6. It was derived from a cell relaxed with PBE, using copper Kα.
No peak broadening, texture or thermal motion is included.

Principal peaks in the range 15 to 90 degrees two-theta, low angle first:
2θ (°)	I/Imax
24.94	9
31.13	9
39.53	52
39.91	100
57.14	16
71.97	32
72.73	15
86.10	9

Atomic structure:
Cell: 7.2106 7.2106 6.3311 Å, 90.00 90.00 143.15°
Atoms (fractional coordinates):
Dy1 0.0000 0.0000 0.0000
Sc1 0.0000 0.0000 0.5000
Sc2 0.3307 0.6693 0.0000
Sc3 0.3335 0.6665 0.5000
Sc4 0.6665 0.3335 0.5000
Sc5 0.6693 0.3307 0.0000
Ni1 0.1719 0.8281 0.2553
Ni2 0.1719 0.8281 0.7447
Ni3 0.5000 0.5000 0.2648
Ni4 0.5000 0.5000 0.7352
Ni5 0.8281 0.1719 0.2553
Ni6 0.8281 0.1719 0.7447

[3]
The following is a theoretical PXRD pattern of NpAs2Pd3. It was derived from a cell relaxed with PBE, using copper Kα.
No peak broadening, texture or thermal motion is included.

Principal peaks in the range 15 to 90 degrees two-theta, low angle first:
2θ (°)	I/Imax
30.41	22
30.77	19
33.60	16
34.75	100
36.22	23
39.14	19
42.36	24
44.71	33

Atomic structure:
Cell: 8.6293 8.6293 10.0914 Å, 106.96 106.96 27.17°
Atoms (fractional coordinates):
Np1 0.0000 0.0000 0.0000
Np2 0.1567 0.1567 0.7041
Np3 0.8433 0.8433 0.2959
As1 0.1991 0.1991 0.1356
As2 0.3635 0.3635 0.5371
As3 0.4581 0.4581 0.2042
As4 0.5419 0.5419 0.7958
As5 0.6365 0.6365 0.4629
As6 0.8009 0.8009 0.8644
Pd1 0.0388 0.0388 0.3313
Pd2 0.2175 0.2175 0.3956
Pd3 0.3178 0.3178 0.0274
Pd4 0.3761 0.3761 0.7927
Pd5 0.5000 0.5000 0.5000
Pd6 0.6239 0.6239 0.2073
Pd7 0.6822 0.6822 0.9726
Pd8 0.7825 0.7825 0.6044
Pd9 0.9612 0.9612 0.6687

Repeat the first record exactly.
The following is a theoretical PXRD pattern of Dy4Y8Tm. It was derived from a cell relaxed with PBE, using copper Kα.
No peak broadening, texture or thermal motion is included.

Principal peaks in the range 15 to 90 degrees two-theta, low angle first:
2θ (°)	I/Imax
28.53	21
29.10	24
31.22	100
32.74	36
38.71	36
50.19	29
59.06	17
82.21	18

Atomic structure:
Cell: 10.1185 10.1185 10.1185 Å, 42.11 42.11 42.11°
Atoms (fractional coordinates):
Dy1 0.0000 0.0000 0.0000
Dy2 0.0000 0.5000 0.5000
Dy3 0.5000 0.0000 0.5000
Dy4 0.5000 0.5000 0.0000
Y1 0.2023 0.7494 0.7494
Y2 0.2144 0.2144 0.2144
Y3 0.2506 0.2506 0.7977
Y4 0.2506 0.7977 0.2506
Y5 0.7494 0.2023 0.7494
Y6 0.7494 0.7494 0.2023
Y7 0.7856 0.7856 0.7856
Y8 0.7977 0.2506 0.2506
Tm1 0.5000 0.5000 0.5000